Calculated powder X-ray diffraction pattern of LiNb2Te4Cl10O for Cu Kα (λ = 1.5418 Å), from DFT lattice parameters and positions (PBE).

Cell and atoms:
Unit cell a=6.7213 b=9.1427 c=10.9683 alpha=86.29 beta=72.34 gamma=80.70
Sites, in units of the cell vectors:
Li 0.0000 0.0000 0.0000
Nb 0.4200 0.6759 0.9118
Nb 0.5800 0.3241 0.0882
Te 0.0048 0.1341 0.3558
Te 0.2169 0.0942 0.5373
Te 0.7831 0.9058 0.4627
Te 0.9952 0.8659 0.6442
Cl 0.1376 0.7663 0.0983
Cl 0.1960 0.5611 0.8339
Cl 0.2907 0.9200 0.8087
Cl 0.3098 0.3756 0.2918
Cl 0.3455 0.1934 0.0310
Cl 0.6545 0.8066 0.9690
Cl 0.6902 0.6244 0.7082
Cl 0.7093 0.0800 0.1913
Cl 0.8040 0.4389 0.1661
Cl 0.8624 0.2337 0.9017
O 0.5000 0.5000 0.0000

Top 6 peaks for 15 to 90 degrees two-theta, by angle:
2θ 15.83, intensity 49
2θ 18.41, intensity 100
2θ 27.69, intensity 62
2θ 30.95, intensity 53
2θ 31.92, intensity 42
2θ 37.59, intensity 40